Starting from a crystal structure in Alexandria, relaxed with PBE+U, the powder XRD pattern of Li4CrF6 was calculated for Cu Kα X-rays.

Atomic structure:
```
data_Li4CrF6
_cell_length_a 4.9727
_cell_length_b 4.9572
_cell_length_c 10.2193
_cell_angle_alpha 90.00
_cell_angle_beta 115.78
_cell_angle_gamma 90.00
_symmetry_space_group_name_H-M 'P 1 21/c 1'
_symmetry_Int_Tables_number 14
loop_
_symmetry_equiv_pos_as_xyz
'x,y,z'
'-x,-y,-z'
'-x,y+1/2,-z+1/2'
'x,-y+1/2,z+1/2'
loop_
_atom_site_label
_atom_site_type_symbol
_atom_site_fract_x
_atom_site_fract_y
_atom_site_fract_z
_atom_site_occupancy
Li1 Li 0.1164 0.0372 0.1418 1
Li2 Li 0.2240 0.5410 0.2105 1
Cr1 Cr 0.5000 0.0000 0.5000 1
F1 F 0.1118 0.2439 0.8061 1
F2 F 0.1887 0.7475 0.5183 1
F3 F 0.4702 0.2144 0.6640 1
```

Main lines, by intensity (5 to 70 degrees two-theta):
Position (°2θ)  Rel. int.  index
20.3  1000  0 1 1
38.2  784  1 1 2
25.4  647  1 1 -1
31.4  552  1 1 1
52.1  506  2 2 -2
51.5  480  1 2 -4
39.8  445  1 1 -4
40.6  381  2 1 -2
19.8  266  1 0 0
41.4  259  0 2 2